For Ca10VP5O24F2, a crystal structure in Alexandria, relaxed with PBE+U gives the simulated X-ray powder pattern in this record (copper Kα).
Kinematic intensities with the Lorentz-polarization factor, no thermal factor.

Largest 8 diffraction maxima, most intense first, 5° ≤ 2θ ≤ 70°:
hkl	2θ (°)	d_spacing	intensity
2 1 -3	31.38	2.851	100.0
0 0 3	32.32	2.770	74.0
1 2 -2	31.88	2.807	70.9
0 2 0	25.71	3.465	66.9
1 1 2	31.21	2.866	62.9
4 2 -2	46.17	1.966	39.8
3 3 -1	49.04	1.858	39.6
2 2 0	33.68	2.661	33.0

Structure:
```
data_Ca10VP5O24F2
_chemical_formula_sum 'Ca10 V1 P5 O24 F2'
_cell_length_a 9.5471
_cell_length_b 6.9295
_cell_length_c 9.5591
_cell_angle_alpha 90.00
_cell_angle_beta 119.55
_cell_angle_gamma 90.00
_symmetry_space_group_name_H-M 'P 1 m 1'
_symmetry_Int_Tables_number 6
loop_
_symmetry_equiv_pos_as_xyz
'x,y,z'
'x,-y,z'
loop_
_atom_site_label
_atom_site_type_symbol
_atom_site_fract_x
_atom_site_fract_y
_atom_site_fract_z
Ca1 Ca 0.0000 0.0000 0.0000
Ca2 Ca 0.0060 0.5000 0.2446
Ca3 Ca 0.0890 0.2525 0.6634
Ca4 Ca 0.4274 0.2492 0.3400
Ca5 Ca 0.5161 0.0000 0.7487
Ca6 Ca 0.5237 0.5000 0.0061
Ca7 Ca 0.7554 0.5000 0.7513
Ca8 Ca 0.7633 0.0000 0.2509
V1 V 0.3628 0.0000 0.9719
P1 P 0.1296 0.0000 0.4009
P2 P 0.1595 0.5000 0.0290
P3 P 0.3847 0.5000 0.5960
P4 P 0.7315 0.5000 0.3698
P5 P 0.7856 0.0000 0.6340
O1 O 0.0179 0.1803 0.3438
O2 O 0.0906 0.5000 0.8442
O3 O 0.1020 0.3193 0.0836
O4 O 0.1526 0.0000 0.8652
O5 O 0.2235 0.0000 0.5890
O6 O 0.2465 0.0000 0.3324
O7 O 0.2660 0.5000 0.6616
O8 O 0.2914 0.5000 0.4077
O9 O 0.3480 0.5000 0.1216
O10 O 0.4262 0.1956 0.9067
O11 O 0.4461 0.0000 0.1796
O12 O 0.4968 0.3202 0.6511
O13 O 0.6006 0.0000 0.5220
O14 O 0.6357 0.5000 0.4632
O15 O 0.6802 0.3202 0.2583
O16 O 0.8387 0.1807 0.7448
O17 O 0.8766 0.0000 0.5357
O18 O 0.9151 0.5000 0.4884
F1 F 0.7572 0.0000 0.0021
F2 F 0.7633 0.5000 0.9987
```